[1]
Theoretical powder X-ray diffraction pattern of Cs2UCl4O2 for CuKα, from a DFT-relaxed cell (GGA-PBE, the Materials Project).
Neutral-atom scattering factors, no anomalous dispersion.

Structure:
Lattice parameters (Å, degrees): 12.262 7.846 5.958 90.00 100.04 90.00
Space group C2/m (No. 12)
Unique sites:
Cs  0.166  0.000  0.322 x4
U  0.000  0.500  0.000 x2
Cl  0.099  0.252  0.799 x8
O  0.116  0.500  0.234 x4

Largest 10 diffraction maxima, low angle first, 2θ from 5° to 70°:
- hkl 1 1 0, 13.5 deg, d = 6.579 Å, I = 19
- hkl 2 0 -1, 19.2 deg, d = 4.630 Å, I = 46
- hkl 1 1 1, 21.2 deg, d = 4.185 Å, I = 100
- hkl 0 2 0, 22.7 deg, d = 3.923 Å, I = 27
- hkl 3 1 0, 24.9 deg, d = 3.581 Å, I = 68
- hkl 2 2 -1, 29.9 deg, d = 2.993 Å, I = 81
- hkl 1 1 -2, 32.2 deg, d = 2.779 Å, I = 35
- hkl 4 0 -2, 38.9 deg, d = 2.313 Å, I = 36
- hkl 5 1 -1, 39.5 deg, d = 2.281 Å, I = 20
- hkl 0 4 0, 46.3 deg, d = 1.962 Å, I = 26

=====

[2]
Theoretical powder X-ray diffraction pattern of BaSrBiSbO6 for CuKα, from a DFT-relaxed cell (GGA-PBE, the Materials Project).
Neutral-atom scattering factors, no anomalous dispersion.

Structure:
Lattice parameters (Å, degrees): 8.617 8.617 8.617 90.00 90.00 90.00
Space group F-43m (No. 216)
Unique sites:
Ba  0.000  0.000  0.000 x4
Sr  0.000  0.000  0.500 x4
Bi  0.250  0.250  0.250 x4
Sb  0.250  0.250  0.750 x4
O  0.017  0.250  0.750 x24

Largest 10 diffraction maxima, low angle first, 2θ from 5° to 70°:
- hkl 1 1 1, 17.8 deg, d = 4.975 Å, I = 6
- hkl 2 0 0, 20.6 deg, d = 4.308 Å, I = 9
- hkl 2 2 0, 29.3 deg, d = 3.047 Å, I = 100
- hkl 3 1 1, 34.5 deg, d = 2.598 Å, I = 5
- hkl 4 0 0, 41.9 deg, d = 2.154 Å, I = 29
- hkl 3 3 1, 45.9 deg, d = 1.977 Å, I = 3
- hkl 4 2 0, 47.2 deg, d = 1.927 Å, I = 4
- hkl 4 2 2, 52.0 deg, d = 1.759 Å, I = 41
- hkl 4 4 0, 60.8 deg, d = 1.523 Å, I = 19
- hkl 6 2 0, 68.9 deg, d = 1.362 Å, I = 19

=====

[3]
Theoretical powder X-ray diffraction pattern of La12Fe2I17 for CuKα, from a DFT-relaxed cell (GGA-PBE, the Materials Project).
Neutral-atom scattering factors, no anomalous dispersion.

Structure:
Lattice parameters (Å, degrees): 9.945 11.996 12.202 74.00 75.16 67.08
Space group P-1 (No. 2)
Unique sites:
La  0.047  0.021  0.171 x2
La  0.061  0.168  0.501 x2
La  0.078  0.261  0.770 x2
La  0.209  0.500  0.412 x2
La  0.329  0.685  0.077 x2
La  0.342  0.784  0.347 x2
Fe  0.134  0.766  0.285 x2
I  0.041  0.558  0.675 x2
I  0.069  0.676  0.969 x2
I  0.196  0.862  0.608 x2
I  0.248  0.974  0.913 x2
I  0.288  0.082  0.252 x2
I  0.354  0.196  0.549 x2
I  0.388  0.286  0.868 x2
I  0.444  0.393  0.182 x2
I  0.500  0.500  0.500 x1

Largest 10 diffraction maxima, low angle first, 2θ from 5° to 70°:
- hkl 0 1 1, 10.0 deg, d = 8.822 Å, I = 18
- hkl 0 3 -1, 27.3 deg, d = 3.267 Å, I = 100
- hkl -1 1 3, 27.5 deg, d = 3.239 Å, I = 98
- hkl 3 2 2, 28.3 deg, d = 3.157 Å, I = 75
- hkl -1 4 2, 39.0 deg, d = 2.308 Å, I = 62
- hkl 1 2 -4, 39.3 deg, d = 2.293 Å, I = 35
- hkl 2 3 5, 39.4 deg, d = 2.287 Å, I = 28
- hkl 3 5 1, 40.4 deg, d = 2.235 Å, I = 55
- hkl 2 6 4, 49.1 deg, d = 1.857 Å, I = 15
- hkl 4 4 -2, 50.1 deg, d = 1.822 Å, I = 16

=====

[4]
Theoretical powder X-ray diffraction pattern of IrCl3 for CuKα, from a DFT-relaxed cell (GGA-PBE, the Materials Project).
Neutral-atom scattering factors, no anomalous dispersion.

Structure:
Lattice parameters (Å, degrees): 7.242 10.124 21.162 90.00 90.00 90.00
Space group Fddd (No. 70, origin choice 2)
Unique sites:
Ir  0.125  0.125  0.041 x16
Cl  0.093  0.375  0.375 x16
Cl  0.109  0.359  0.213 x32

Largest 10 diffraction maxima, low angle first, 2θ from 5° to 70°:
- hkl 1 1 1, 15.6 deg, d = 5.674 Å, I = 100
- hkl 0 0 4, 16.8 deg, d = 5.290 Å, I = 14
- hkl 0 2 2, 19.4 deg, d = 4.566 Å, I = 18
- hkl 1 1 5, 25.9 deg, d = 3.434 Å, I = 32
- hkl 1 3 1, 29.5 deg, d = 3.027 Å, I = 16
- hkl 1 1 7, 33.3 deg, d = 2.690 Å, I = 12
- hkl 2 0 6, 35.5 deg, d = 2.528 Å, I = 51
- hkl 3 1 5, 44.1 deg, d = 2.053 Å, I = 9
- hkl 1 1 11, 49.9 deg, d = 1.828 Å, I = 8
- hkl 2 4 6, 51.1 deg, d = 1.788 Å, I = 23